Starting from a crystal structure in OQMD, relaxed with GGA-PBE, the PXRD pattern of GdHoInNi2 was computed for CuKα.
Neutral-atom scattering factors, no anomalous dispersion.

Structural model:
```
data_GdHoInNi2
_chemical_formula_sum 'Gd2 Ho2 In2 Ni4'
_space_group_name_H-M_alt 'A m m 2'
_space_group_IT_number 38
_cell_length_a 3.703
_cell_length_b 3.906
_cell_length_c 14.221
_cell_angle_alpha 90.00
_cell_angle_beta 90.00
_cell_angle_gamma 90.00
loop_
_space_group_symop_operation_xyz
'x,y,z'
'-x,-y,z'
'-x,y,z'
'x,-y,z'
'x,y+1/2,z+1/2'
'-x,-y+1/2,z+1/2'
'-x,y+1/2,z+1/2'
'x,-y+1/2,z+1/2'
loop_
_atom_site_label
_atom_site_type_symbol
_atom_site_fract_x
_atom_site_fract_y
_atom_site_fract_z
Gd1 Gd 0.000 0.000 0.000
Ho1 Ho 0.000 0.000 0.724
In1 In 0.500 0.000 0.361
Ni1 Ni 0.500 0.000 0.165
Ni2 Ni 0.500 0.000 0.563
```

Top 10 peaks for 10° ≤ 2θ ≤ 80°, in order of falling intensity:
| d/Å | 2θ/deg | intensity |
| --- | --- | --- |
| 2.641 | 33.9 | 100.0 |
| 2.565 | 35.0 | 72.1 |
| 3.015 | 29.6 | 42.5 |
| 2.338 | 38.5 | 36.7 |
| 2.299 | 39.2 | 34.0 |
| 1.554 | 59.5 | 30.6 |
| 1.953 | 46.5 | 29.7 |
| 1.852 | 49.2 | 20.9 |
| 1.621 | 56.8 | 18.5 |
| 1.442 | 64.6 | 14.8 |



Starting from a crystal structure in OQMD, relaxed with GGA-PBE, the PXRD pattern of Dy2Y3Er2Ni2Te2 was computed for CuKα.
Neutral-atom scattering factors, no anomalous dispersion.

Structural model:
```
data_Dy2Y3Er2Ni2Te2
_chemical_formula_sum 'Dy4 Y6 Er4 Ni4 Te4'
_space_group_name_H-M_alt 'I m m 2'
_space_group_IT_number 44
_cell_length_a 3.843
_cell_length_b 15.591
_cell_length_c 9.553
_cell_angle_alpha 90.00
_cell_angle_beta 90.00
_cell_angle_gamma 90.00
loop_
_space_group_symop_operation_xyz
'x,y,z'
'-x,-y,z'
'-x,y,z'
'x,-y,z'
'x+1/2,y+1/2,z+1/2'
'-x+1/2,-y+1/2,z+1/2'
'-x+1/2,y+1/2,z+1/2'
'x+1/2,-y+1/2,z+1/2'
loop_
_atom_site_label
_atom_site_type_symbol
_atom_site_fract_x
_atom_site_fract_y
_atom_site_fract_z
Dy1 Dy 0.000 0.185 0.000
Y1 Y 0.000 0.369 0.799
Y2 Y 0.000 0.500 0.381
Er1 Er 0.000 0.146 0.649
Ni1 Ni 0.000 0.262 0.309
Te1 Te 0.000 0.000 0.145
Te2 Te 0.000 0.500 0.045
```

Top 10 peaks for 10° ≤ 2θ ≤ 80°, in order of falling intensity:
| d/Å | 2θ/deg | intensity |
| --- | --- | --- |
| 2.631 | 34.1 | 100.0 |
| 2.715 | 33.0 | 88.9 |
| 2.596 | 34.6 | 80.0 |
| 2.941 | 30.4 | 43.5 |
| 1.568 | 58.9 | 41.1 |
| 3.090 | 28.9 | 40.0 |
| 2.452 | 36.6 | 32.4 |
| 1.922 | 47.3 | 31.3 |
| 2.339 | 38.5 | 30.7 |
| 2.283 | 39.5 | 21.2 |



Starting from a crystal structure in OQMD, relaxed with GGA-PBE, the PXRD pattern of DyHoS2F2 was computed for CuKα.
Neutral-atom scattering factors, no anomalous dispersion.

Structural model:
```
data_DyHoS2F2
_chemical_formula_sum 'Dy1 Ho1 S2 F2'
_space_group_name_H-M_alt 'P 4 m m'
_space_group_IT_number 99
_cell_length_a 3.739
_cell_length_b 3.739
_cell_length_c 6.774
_cell_angle_alpha 90.00
_cell_angle_beta 90.00
_cell_angle_gamma 90.00
loop_
_space_group_symop_operation_xyz
'x,y,z'
'-y,x,z'
'-x,-y,z'
'y,-x,z'
'-x,y,z'
'y,x,z'
'x,-y,z'
'-y,-x,z'
loop_
_atom_site_label
_atom_site_type_symbol
_atom_site_fract_x
_atom_site_fract_y
_atom_site_fract_z
Dy1 Dy 0.000 0.000 0.000
Ho1 Ho 0.500 0.500 0.543
S1 S 0.000 0.000 0.415
S2 S 0.500 0.500 0.129
F1 F 0.000 0.500 0.771
```

Top 10 peaks for 10° ≤ 2θ ≤ 80°, in order of falling intensity:
| d/Å | 2θ/deg | intensity |
| --- | --- | --- |
| 3.273 | 27.2 | 100.0 |
| 2.084 | 43.4 | 53.5 |
| 2.644 | 33.9 | 49.0 |
| 1.933 | 47.0 | 33.8 |
| 3.387 | 26.3 | 31.4 |
| 1.623 | 56.7 | 27.6 |
| 1.869 | 48.7 | 25.8 |
| 1.344 | 70.0 | 20.5 |
| 1.637 | 56.2 | 16.2 |
| 2.510 | 35.8 | 15.7 |



Starting from a crystal structure in OQMD, relaxed with GGA-PBE, the PXRD pattern of MgScIn2Cu4 was computed for CuKα.
Neutral-atom scattering factors, no anomalous dispersion.

Structural model:
```
data_MgScIn2Cu4
_chemical_formula_sum 'Mg1 Sc1 In2 Cu4'
_space_group_name_H-M_alt 'P 4/m m m'
_space_group_IT_number 123
_space_group_name_Hall '-P 4 2'
_cell_length_a 4.508
_cell_length_b 4.508
_cell_length_c 6.380
_cell_angle_alpha 90.00
_cell_angle_beta 90.00
_cell_angle_gamma 90.00
loop_
_atom_site_label
_atom_site_type_symbol
_atom_site_fract_x
_atom_site_fract_y
_atom_site_fract_z
Mg1 Mg 0.000 0.000 0.000
Sc1 Sc 0.500 0.500 0.500
In1 In 0.000 0.000 0.500
In2 In 0.500 0.500 0.000
Cu1 Cu 0.000 0.500 0.249
```

Top 7 peaks for 10° ≤ 2θ ≤ 80°, in order of falling intensity:
| d/Å | 2θ/deg | intensity |
| --- | --- | --- |
| 2.255 | 40.0 | 100.0 |
| 1.302 | 72.6 | 31.0 |
| 3.682 | 24.2 | 19.6 |
| 1.594 | 57.8 | 15.9 |
| 1.923 | 47.3 | 9.8 |
| 1.463 | 63.6 | 4.0 |
| 1.227 | 77.8 | 3.0 |



Starting from a crystal structure in OQMD, relaxed with GGA-PBE, the PXRD pattern of TaBiN2O was computed for CuKα.
Neutral-atom scattering factors, no anomalous dispersion.

Structural model:
```
data_TaBiN2O
_chemical_formula_sum 'Ta1 Bi1 N2 O1'
_space_group_name_H-M_alt 'P 1 m 1'
_space_group_IT_number 6
_cell_length_a 4.213
_cell_length_b 3.851
_cell_length_c 4.241
_cell_angle_alpha 90.00
_cell_angle_beta 91.88
_cell_angle_gamma 90.00
loop_
_space_group_symop_operation_xyz
'x,y,z'
'x,-y,z'
loop_
_atom_site_label
_atom_site_type_symbol
_atom_site_fract_x
_atom_site_fract_y
_atom_site_fract_z
Ta1 Ta 0.000 0.000 0.000
Bi1 Bi 0.456 0.500 0.545
N1 N 0.067 0.000 0.455
N2 N 0.540 0.000 0.925
O1 O 0.071 0.500 0.924
```

Top 10 peaks for 10° ≤ 2θ ≤ 80°, in order of falling intensity:
| d/Å | 2θ/deg | intensity |
| --- | --- | --- |
| 2.846 | 31.4 | 100.0 |
| 3.038 | 29.4 | 28.8 |
| 2.940 | 30.4 | 28.5 |
| 2.119 | 42.7 | 12.4 |
| 2.106 | 43.0 | 12.4 |
| 1.681 | 54.6 | 11.3 |
| 1.676 | 54.8 | 11.1 |
| 1.717 | 53.3 | 11.1 |
| 1.925 | 47.2 | 11.1 |
| 1.712 | 53.5 | 10.9 |



Starting from a crystal structure in OQMD, relaxed with GGA-PBE, the PXRD pattern of Cu7Ag2 was computed for CuKα.
Neutral-atom scattering factors, no anomalous dispersion.

Structural model:
```
data_Cu7Ag2
_chemical_formula_sum 'Cu14 Ag4'
_space_group_name_H-M_alt 'C 1 2/m 1'
_space_group_IT_number 12
_cell_length_a 8.449
_cell_length_b 3.745
_cell_length_c 7.995
_cell_angle_alpha 90.00
_cell_angle_beta 109.41
_cell_angle_gamma 90.00
loop_
_space_group_symop_operation_xyz
'x,y,z'
'-x,-y,-z'
'-x,y,-z'
'x,-y,z'
'x+1/2,y+1/2,z'
'-x+1/2,-y+1/2,-z'
'-x+1/2,y+1/2,-z'
'x+1/2,-y+1/2,z'
loop_
_atom_site_label
_atom_site_type_symbol
_atom_site_fract_x
_atom_site_fract_y
_atom_site_fract_z
Cu1 Cu 0.000 0.000 0.000
Cu2 Cu 0.007 0.000 0.686
Cu3 Cu 0.157 0.500 0.205
Cu4 Cu 0.168 0.500 0.899
Ag1 Ag 0.169 0.500 0.567
```

Top 10 peaks for 10° ≤ 2θ ≤ 80°, in order of falling intensity:
| d/Å | 2θ/deg | intensity |
| --- | --- | --- |
| 2.169 | 41.6 | 100.0 |
| 1.898 | 47.9 | 16.8 |
| 1.872 | 48.6 | 16.1 |
| 1.865 | 48.8 | 14.2 |
| 1.333 | 70.7 | 13.3 |
| 1.321 | 71.4 | 8.4 |
| 1.328 | 71.0 | 4.6 |
| 2.719 | 32.9 | 4.2 |
| 2.373 | 37.9 | 2.4 |
| 3.269 | 27.3 | 1.8 |



Starting from a crystal structure in OQMD, relaxed with GGA-PBE, the PXRD pattern of DyTmCd6 was computed for CuKα.
Neutral-atom scattering factors, no anomalous dispersion.

Structural model:
```
data_DyTmCd6
_chemical_formula_sum 'Dy1 Tm1 Cd6'
_space_group_name_H-M_alt 'P m m 2'
_space_group_IT_number 25
_cell_length_a 5.036
_cell_length_b 7.140
_cell_length_c 5.037
_cell_angle_alpha 90.00
_cell_angle_beta 90.00
_cell_angle_gamma 90.00
loop_
_space_group_symop_operation_xyz
'x,y,z'
'-x,-y,z'
'-x,y,z'
'x,-y,z'
loop_
_atom_site_label
_atom_site_type_symbol
_atom_site_fract_x
_atom_site_fract_y
_atom_site_fract_z
Dy1 Dy 0.000 0.000 0.000
Tm1 Tm 0.500 0.500 0.508
Cd1 Cd 0.000 0.253 0.499
Cd2 Cd 0.000 0.500 0.000
Cd3 Cd 0.500 0.000 0.507
Cd4 Cd 0.500 0.253 0.008
```

Top 10 peaks for 10° ≤ 2θ ≤ 80°, in order of falling intensity:
| d/Å | 2θ/deg | intensity |
| --- | --- | --- |
| 2.520 | 35.6 | 100.0 |
| 1.455 | 64.0 | 34.7 |
| 1.781 | 51.3 | 11.5 |
| 1.261 | 75.4 | 7.1 |
| 1.785 | 51.2 | 5.8 |
| 1.259 | 75.5 | 3.5 |
| 4.116 | 21.6 | 2.1 |
| 2.149 | 42.0 | 1.2 |
| 3.564 | 25.0 | 1.1 |
| 1.635 | 56.2 | 0.6 |



Starting from a crystal structure in OQMD, relaxed with GGA-PBE, the PXRD pattern of Ho4Ga12Tc was computed for CuKα.
Neutral-atom scattering factors, no anomalous dispersion.

Structural model:
```
data_Ho4Ga12Tc
_chemical_formula_sum 'Ho8 Ga24 Tc2'
_space_group_name_H-M_alt 'I m -3 m'
_space_group_IT_number 229
_space_group_name_Hall '-I 4 2 3'
_cell_length_a 8.606
_cell_length_b 8.606
_cell_length_c 8.606
_cell_angle_alpha 90.00
_cell_angle_beta 90.00
_cell_angle_gamma 90.00
loop_
_atom_site_label
_atom_site_type_symbol
_atom_site_fract_x
_atom_site_fract_y
_atom_site_fract_z
Ho1 Ho 0.250 0.250 0.250
Ga1 Ga 0.000 0.000 0.291
Ga2 Ga 0.000 0.250 0.500
Tc1 Tc 0.000 0.000 0.000
```

Top 10 peaks for 10° ≤ 2θ ≤ 80°, in order of falling intensity:
| d/Å | 2θ/deg | intensity |
| --- | --- | --- |
| 2.484 | 36.2 | 100.0 |
| 2.151 | 42.0 | 63.6 |
| 1.521 | 60.9 | 37.9 |
| 3.043 | 29.4 | 33.8 |
| 1.297 | 72.9 | 31.1 |
| 1.242 | 76.7 | 11.5 |
| 1.757 | 52.1 | 10.3 |
| 1.361 | 69.0 | 9.4 |
| 4.303 | 20.6 | 8.8 |
| 2.300 | 39.2 | 8.7 |



Starting from a crystal structure in OQMD, relaxed with GGA-PBE, the PXRD pattern of Zn2Sn2PN3 was computed for CuKα.
Neutral-atom scattering factors, no anomalous dispersion.

Structural model:
```
data_Zn2Sn2PN3
_chemical_formula_sum 'Zn4 Sn4 P2 N6'
_space_group_name_H-M_alt 'C 1 2 1'
_space_group_IT_number 5
_cell_length_a 11.143
_cell_length_b 5.019
_cell_length_c 5.043
_cell_angle_alpha 90.00
_cell_angle_beta 116.88
_cell_angle_gamma 90.00
loop_
_space_group_symop_operation_xyz
'x,y,z'
'-x,y,-z'
'x+1/2,y+1/2,z'
'-x+1/2,y+1/2,-z'
loop_
_atom_site_label
_atom_site_type_symbol
_atom_site_fract_x
_atom_site_fract_y
_atom_site_fract_z
Zn1 Zn 0.139 0.000 0.358
Sn1 Sn 0.132 0.451 0.902
P1 P 0.000 0.757 0.500
N1 N 0.000 0.220 0.000
N2 N 0.250 0.224 0.752
```

Top 10 peaks for 10° ≤ 2θ ≤ 80°, in order of falling intensity:
| d/Å | 2θ/deg | intensity |
| --- | --- | --- |
| 2.893 | 30.9 | 100.0 |
| 1.770 | 51.6 | 14.4 |
| 1.766 | 51.8 | 14.2 |
| 1.779 | 51.4 | 14.1 |
| 1.502 | 61.8 | 12.2 |
| 1.512 | 61.3 | 11.9 |
| 1.518 | 61.0 | 11.8 |
| 2.509 | 35.8 | 10.7 |
| 2.485 | 36.1 | 10.5 |
| 2.522 | 35.6 | 10.4 |



Starting from a crystal structure in OQMD, relaxed with GGA-PBE, the PXRD pattern of Gd4IrSe4O4 was computed for CuKα.
Neutral-atom scattering factors, no anomalous dispersion.

Structural model:
```
data_Gd4IrSe4O4
_chemical_formula_sum 'Gd8 Ir2 Se8 O8'
_space_group_name_H-M_alt 'C 1 2/m 1'
_space_group_IT_number 12
_cell_length_a 15.733
_cell_length_b 3.792
_cell_length_c 9.798
_cell_angle_alpha 90.00
_cell_angle_beta 118.32
_cell_angle_gamma 90.00
loop_
_space_group_symop_operation_xyz
'x,y,z'
'-x,-y,-z'
'-x,y,-z'
'x,-y,z'
'x+1/2,y+1/2,z'
'-x+1/2,-y+1/2,-z'
'-x+1/2,y+1/2,-z'
'x+1/2,-y+1/2,z'
loop_
_atom_site_label
_atom_site_type_symbol
_atom_site_fract_x
_atom_site_fract_y
_atom_site_fract_z
Gd1 Gd 0.025 0.000 0.332
Gd2 Gd 0.220 0.500 0.327
Ir1 Ir 0.000 0.500 0.000
Se1 Se 0.113 0.000 0.016
Se2 Se 0.118 0.500 0.638
O1 O 0.054 0.500 0.237
O2 O 0.184 0.000 0.413
```

Top 10 peaks for 10° ≤ 2θ ≤ 80°, in order of falling intensity:
| d/Å | 2θ/deg | intensity |
| --- | --- | --- |
| 2.856 | 31.3 | 100.0 |
| 2.551 | 35.2 | 94.1 |
| 2.875 | 31.1 | 66.8 |
| 7.370 | 12.0 | 58.4 |
| 1.583 | 58.3 | 26.1 |
| 6.925 | 12.8 | 25.9 |
| 1.896 | 48.0 | 25.5 |
| 1.732 | 52.9 | 24.5 |
| 2.399 | 37.5 | 23.3 |
| 1.531 | 60.5 | 17.6 |



Starting from a crystal structure in OQMD, relaxed with GGA-PBE, the PXRD pattern of Cu8Ag was computed for CuKα.
Neutral-atom scattering factors, no anomalous dispersion.

Structural model:
```
data_Cu8Ag
_chemical_formula_sum 'Cu16 Ag2'
_space_group_name_H-M_alt 'I m m m'
_space_group_IT_number 71
_space_group_name_Hall '-I 2 2'
_cell_length_a 2.629
_cell_length_b 3.591
_cell_length_c 23.779
_cell_angle_alpha 90.00
_cell_angle_beta 90.00
_cell_angle_gamma 90.00
loop_
_atom_site_label
_atom_site_type_symbol
_atom_site_fract_x
_atom_site_fract_y
_atom_site_fract_z
Cu1 Cu 0.000 0.000 0.064
Cu2 Cu 0.000 0.000 0.170
Cu3 Cu 0.000 0.000 0.277
Cu4 Cu 0.000 0.000 0.384
Ag1 Ag 0.000 0.000 0.500
```

Top 10 peaks for 10° ≤ 2θ ≤ 80°, in order of falling intensity:
| d/Å | 2θ/deg | intensity |
| --- | --- | --- |
| 2.121 | 42.6 | 100.0 |
| 2.128 | 42.5 | 93.3 |
| 1.864 | 48.9 | 60.6 |
| 1.293 | 73.2 | 32.9 |
| 1.795 | 50.9 | 28.9 |
| 1.315 | 71.8 | 9.5 |
| 1.321 | 71.4 | 7.0 |
| 2.468 | 36.4 | 5.3 |
| 2.079 | 43.5 | 3.2 |
| 2.866 | 31.2 | 2.9 |



Starting from a crystal structure in OQMD, relaxed with GGA-PBE, the PXRD pattern of CdPd3N6 was computed for CuKα.
Neutral-atom scattering factors, no anomalous dispersion.

Structural model:
```
data_CdPd3N6
_chemical_formula_sum 'Cd2 Pd6 N12'
_space_group_name_H-M_alt 'C m m m'
_space_group_IT_number 65
_space_group_name_Hall '-C 2 2'
_cell_length_a 6.540
_cell_length_b 11.456
_cell_length_c 3.253
_cell_angle_alpha 90.00
_cell_angle_beta 90.00
_cell_angle_gamma 90.00
loop_
_atom_site_label
_atom_site_type_symbol
_atom_site_fract_x
_atom_site_fract_y
_atom_site_fract_z
Cd1 Cd 0.000 0.000 0.000
Pd1 Pd 0.000 0.500 0.000
Pd2 Pd 0.250 0.250 0.500
N1 N 0.000 0.133 0.500
N2 N 0.097 0.329 0.000
```

Top 10 peaks for 10° ≤ 2θ ≤ 80°, in order of falling intensity:
| d/Å | 2θ/deg | intensity |
| --- | --- | --- |
| 2.840 | 31.5 | 100.0 |
| 2.829 | 31.6 | 93.6 |
| 1.796 | 50.8 | 58.1 |
| 2.306 | 39.1 | 56.6 |
| 1.648 | 55.8 | 46.1 |
| 2.864 | 31.2 | 42.8 |
| 1.415 | 66.0 | 36.3 |
| 1.411 | 66.2 | 22.8 |
| 1.217 | 78.6 | 12.8 |
| 1.627 | 56.6 | 12.8 |



> Number 1 is which compound?

GdHoInNi2